Ca8ZnCo3Si8O28: calculated PXRD pattern (Cu Kα), based on DFT lattice parameters and positions (PBE+U).

Top 8 peaks for 15° ≤ 2θ ≤ 90°, low angle first:
2θ = 23.70°, rel. 38
2θ = 28.63°, rel. 60
2θ = 30.83°, rel. 100
2θ = 31.99°, rel. 15
2θ = 35.88°, rel. 37
2θ = 43.98°, rel. 15
2θ = 51.34°, rel. 41
2θ = 51.65°, rel. 15

Lattice parameters (Å, degrees): 11.1922 11.1922 5.0623 90.00 90.00 90.00
Positions (direct):
Ca  0.0810  0.2500  0.4962
Ca  0.2500  0.5810  0.5039
Ca  0.2500  0.9190  0.5038
Ca  0.4190  0.2500  0.4961
Ca  0.5810  0.7500  0.4961
Ca  0.7500  0.0810  0.5038
Ca  0.7500  0.4190  0.5039
Ca  0.9190  0.7500  0.4962
Zn  0.0000  0.0000  0.0000
Co  0.0000  0.5000  0.0001
Co  0.5000  0.0000  0.9999
Co  0.5000  0.5000  0.0000
Si  0.1091  0.7501  0.0625
Si  0.2499  0.1091  0.9375
Si  0.2500  0.3908  0.9371
Si  0.3908  0.7500  0.0629
Si  0.6092  0.2500  0.0629
Si  0.7500  0.6092  0.9371
Si  0.7501  0.8909  0.9375
Si  0.8909  0.2499  0.0625
O  0.0514  0.6348  0.2186
O  0.0514  0.8656  0.2181
O  0.1071  0.7498  0.7438
O  0.1344  0.0514  0.7819
O  0.1346  0.4485  0.7813
O  0.2502  0.1071  0.2562
O  0.2499  0.2499  0.8220
O  0.2500  0.3930  0.2558
O  0.2499  0.7501  0.1780
O  0.3652  0.0514  0.7814
O  0.3654  0.4485  0.7813
O  0.3930  0.7500  0.7442
O  0.4485  0.6346  0.2187
O  0.4485  0.8654  0.2187
O  0.5515  0.1346  0.2187
O  0.5515  0.3654  0.2187
O  0.6070  0.2500  0.7442
O  0.6346  0.5515  0.7813
O  0.6348  0.9486  0.7814
O  0.7501  0.2499  0.1780
O  0.7500  0.6070  0.2558
O  0.7501  0.7501  0.8220
O  0.7498  0.8929  0.2562
O  0.8654  0.5515  0.7813
O  0.8656  0.9486  0.7819
O  0.8929  0.2502  0.7438
O  0.9486  0.1344  0.2181
O  0.9486  0.3652  0.2186

=====

SrLa2Mn3O9: calculated PXRD pattern (Cu Kα), based on DFT lattice parameters and positions (PBE+U).

Top 8 peaks for 15° ≤ 2θ ≤ 90°, low angle first:
2θ = 22.69°, rel. 11
2θ = 32.31°, rel. 100
2θ = 39.82°, rel. 14
2θ = 46.34°, rel. 35
2θ = 57.58°, rel. 29
2θ = 57.74°, rel. 10
2θ = 67.54°, rel. 10
2θ = 67.71°, rel. 10

Lattice parameters (Å, degrees): 5.5475 5.5475 6.7719 90.00 90.00 120.00
Positions (direct):
Sr  0.0000  0.0000  0.0000
La  0.3333  0.6667  0.6658
La  0.6667  0.3333  0.3308
Mn  0.0000  0.0000  0.4983
Mn  0.3333  0.6667  0.1648
Mn  0.6667  0.3333  0.8337
O  0.0099  0.5049  0.0068
O  0.1737  0.3474  0.3363
O  0.1737  0.8263  0.3363
O  0.3369  0.1684  0.6578
O  0.4951  0.5049  0.0068
O  0.4951  0.9901  0.0068
O  0.6526  0.8263  0.3363
O  0.8316  0.1684  0.6578
O  0.8316  0.6631  0.6578

=====

Li3Fe3Sn2O10: calculated PXRD pattern (Cu Kα), based on DFT lattice parameters and positions (PBE+U).

Top 8 peaks for 15° ≤ 2θ ≤ 90°, low angle first:
2θ = 17.44°, rel. 45
2θ = 17.85°, rel. 100
2θ = 21.88°, rel. 30
2θ = 26.15°, rel. 26
2θ = 29.47°, rel. 22
2θ = 34.58°, rel. 17
2θ = 38.19°, rel. 43
2θ = 43.02°, rel. 67

Lattice parameters (Å, degrees): 5.2150 5.3506 8.1423 74.42 74.87 77.26
Positions (direct):
Li  0.0000  0.0000  0.0000
Li  0.4704  0.7046  0.1133
Li  0.5296  0.2954  0.8867
Fe  0.0299  0.1888  0.6040
Fe  0.5000  0.5000  0.5000
Fe  0.9701  0.8112  0.3960
Sn  0.0116  0.3800  0.1966
Sn  0.9884  0.6200  0.8034
O  0.1840  0.0053  0.1786
O  0.2096  0.8215  0.5598
O  0.2278  0.6047  0.9797
O  0.2289  0.4554  0.3675
O  0.2683  0.3024  0.7190
O  0.7317  0.6976  0.2810
O  0.7711  0.5446  0.6325
O  0.7722  0.3953  0.0203
O  0.7904  0.1785  0.4402
O  0.8160  0.9947  0.8214

=====

Fe4O5F3: calculated PXRD pattern (Cu Kα), based on DFT lattice parameters and positions (PBE+U).

Top 8 peaks for 15° ≤ 2θ ≤ 90°, low angle first:
2θ = 26.32°, rel. 92
2θ = 27.19°, rel. 94
2θ = 35.01°, rel. 100
2θ = 52.29°, rel. 52
2θ = 53.27°, rel. 53
2θ = 60.63°, rel. 18
2θ = 66.88°, rel. 16
2θ = 67.12°, rel. 19

Lattice parameters (Å, degrees): 4.7234 6.1085 9.4094 90.00 91.82 90.00
Positions (direct):
Fe  0.0000  0.0000  0.0000
Fe  0.0000  0.0000  0.5000
Fe  0.0000  0.5000  0.0000
Fe  0.0000  0.5000  0.5000
Fe  0.4380  0.2500  0.2559
Fe  0.4711  0.7500  0.2673
Fe  0.5289  0.2500  0.7327
Fe  0.5620  0.7500  0.7441
O  0.1779  0.2500  0.0940
O  0.1868  0.7500  0.0997
O  0.1978  0.2500  0.5928
O  0.2868  0.9995  0.3525
O  0.2868  0.5005  0.3525
O  0.7132  0.0005  0.6475
O  0.7132  0.4995  0.6475
O  0.8022  0.7500  0.4072
O  0.8132  0.2500  0.9003
O  0.8221  0.7500  0.9060
F  0.2098  0.7500  0.6067
F  0.3233  0.5033  0.8435
F  0.3233  0.9967  0.8435
F  0.6767  0.0033  0.1565
F  0.6767  0.4967  0.1565
F  0.7902  0.2500  0.3933

=====

K2MoS2O2: calculated PXRD pattern (Cu Kα), based on DFT lattice parameters and positions (PBE+U).

Top 8 peaks for 15° ≤ 2θ ≤ 90°, low angle first:
2θ = 17.55°, rel. 76
2θ = 18.02°, rel. 100
2θ = 18.73°, rel. 49
2θ = 21.15°, rel. 53
2θ = 25.77°, rel. 61
2θ = 26.29°, rel. 77
2θ = 26.73°, rel. 72
2θ = 30.04°, rel. 90

Lattice parameters (Å, degrees): 6.6868 8.4020 13.9182 90.00 114.66 90.00
Positions (direct):
K  0.1514  0.0183  0.2987
K  0.1514  0.4817  0.7987
K  0.3273  0.6844  0.5511
K  0.3273  0.8156  0.0511
K  0.6727  0.1844  0.9489
K  0.6727  0.3156  0.4489
K  0.8486  0.5183  0.2013
K  0.8486  0.9817  0.7013
Mo  0.2744  0.2069  0.5841
Mo  0.2744  0.2931  0.0841
Mo  0.7256  0.7069  0.9159
Mo  0.7256  0.7931  0.4159
S  0.1502  0.1615  0.9288
S  0.1502  0.3385  0.4288
S  0.4276  0.6670  0.3012
S  0.4276  0.8330  0.8012
S  0.5724  0.1670  0.1988
S  0.5724  0.3330  0.6988
S  0.8498  0.6615  0.5712
S  0.8498  0.8385  0.0712
O  0.0665  0.2071  0.6325
O  0.0665  0.2929  0.1325
O  0.3476  0.0120  0.5634
O  0.3476  0.4880  0.0634
O  0.6524  0.5120  0.9366
O  0.6524  0.9880  0.4366
O  0.9335  0.7071  0.8675
O  0.9335  0.7929  0.3675

=====

NaLi2FePCO7: calculated PXRD pattern (Cu Kα), based on DFT lattice parameters and positions (PBE+U).

Top 8 peaks for 15° ≤ 2θ ≤ 90°, low angle first:
2θ = 21.05°, rel. 50
2θ = 25.22°, rel. 35
2θ = 25.85°, rel. 43
2θ = 26.98°, rel. 100
2θ = 31.11°, rel. 35
2θ = 35.25°, rel. 34
2θ = 35.87°, rel. 41
2θ = 39.30°, rel. 34

Lattice parameters (Å, degrees): 5.1133 6.6173 8.6650 87.13 84.80 89.22
Positions (direct):
Na  0.2346  0.0009  0.2395
Na  0.7654  0.9991  0.7605
Li  0.2370  0.4705  0.2161
Li  0.2769  0.7005  0.5894
Li  0.7231  0.2995  0.4106
Li  0.7630  0.5295  0.7839
Fe  0.2874  0.2678  0.8393
Fe  0.7126  0.7322  0.1607
P  0.2237  0.7485  0.9113
P  0.7763  0.2515  0.0887
C  0.1879  0.2714  0.5425
C  0.8121  0.7286  0.4575
O  0.0104  0.2861  0.6602
O  0.0809  0.2763  0.0668
O  0.1152  0.2651  0.4035
O  0.2934  0.9546  0.8246
O  0.3347  0.7278  0.0712
O  0.3446  0.5837  0.8005
O  0.4334  0.2649  0.5705
O  0.5666  0.7351  0.4295
O  0.6554  0.4163  0.1995
O  0.6653  0.2722  0.9288
O  0.7066  0.0454  0.1754
O  0.8848  0.7349  0.5965
O  0.9191  0.7237  0.9332
O  0.9896  0.7139  0.3398

=====

Li8Mn5Fe3B8O24: calculated PXRD pattern (Cu Kα), based on DFT lattice parameters and positions (PBE+U).

Top 8 peaks for 15° ≤ 2θ ≤ 90°, low angle first:
2θ = 20.39°, rel. 82
2θ = 22.16°, rel. 32
2θ = 22.40°, rel. 61
2θ = 33.26°, rel. 100
2θ = 33.95°, rel. 33
2θ = 34.73°, rel. 30
2θ = 40.10°, rel. 25
2θ = 40.78°, rel. 53

Lattice parameters (Å, degrees): 6.0707 9.7206 9.8284 64.91 79.48 78.03
Positions (direct):
Li  0.0000  0.0000  0.0000
Li  0.0006  0.4990  0.4989
Li  0.4056  0.5644  0.3697
Li  0.4076  0.0664  0.8705
Li  0.4984  0.9984  0.4992
Li  0.4991  0.4983  0.9999
Li  0.9070  0.0660  0.3686
Li  0.9076  0.5655  0.8684
Mn  0.2666  0.8245  0.8089
Mn  0.6391  0.2394  0.5569
Mn  0.6397  0.7382  0.0578
Mn  0.7662  0.8248  0.3113
Mn  0.7674  0.3258  0.8112
Fe  0.1383  0.7420  0.5547
Fe  0.1393  0.2442  0.0599
Fe  0.2657  0.3209  0.3116
B  0.1189  0.1668  0.6452
B  0.1213  0.6634  0.1473
B  0.2873  0.3995  0.7236
B  0.2875  0.9007  0.2223
B  0.6178  0.1655  0.1479
B  0.6184  0.6652  0.6463
B  0.7878  0.8984  0.7199
B  0.7888  0.3990  0.2203
O  0.1171  0.3930  0.8420
O  0.1165  0.8960  0.3405
O  0.1311  0.5439  0.2886
O  0.1323  0.0501  0.7869
O  0.2733  0.5184  0.5829
O  0.2743  0.0195  0.0816
O  0.2889  0.1710  0.5267
O  0.2940  0.6678  0.0317
O  0.4371  0.2879  0.1201
O  0.4370  0.7862  0.6167
O  0.4667  0.7786  0.2484
O  0.4679  0.2785  0.7482
O  0.6160  0.3975  0.3354
O  0.6163  0.8968  0.8354
O  0.6274  0.5498  0.7898
O  0.6277  0.0488  0.2904
O  0.7779  0.0157  0.5776
O  0.7807  0.5150  0.0778
O  0.7899  0.1677  0.0326
O  0.7934  0.6667  0.5326
O  0.9380  0.2875  0.6189
O  0.9410  0.7853  0.1205
O  0.9686  0.7765  0.7467
O  0.9696  0.2764  0.2480

=====

SmTlW2O8: calculated PXRD pattern (Cu Kα), based on DFT lattice parameters and positions (PBE+U).

Top 8 peaks for 15° ≤ 2θ ≤ 90°, low angle first:
2θ = 26.77°, rel. 100
2θ = 28.87°, rel. 76
2θ = 31.15°, rel. 31
2θ = 32.58°, rel. 17
2θ = 32.94°, rel. 33
2θ = 46.00°, rel. 17
2θ = 48.34°, rel. 22
2θ = 55.24°, rel. 20

Lattice parameters (Å, degrees): 7.7537 7.7537 7.5308 117.50 117.50 88.94
Positions (direct):
Sm  0.2244  0.7756  0.7500
Sm  0.7756  0.2244  0.2500
Tl  0.2126  0.7874  0.2500
Tl  0.7874  0.2126  0.7500
W  0.3012  0.3106  0.7832
W  0.3106  0.3012  0.2832
W  0.6894  0.6988  0.7168
W  0.6988  0.6894  0.2168
O  0.0476  0.2247  0.1916
O  0.0644  0.3717  0.6288
O  0.2247  0.0476  0.6916
O  0.2510  0.3762  0.0591
O  0.3717  0.0644  0.1288
O  0.3729  0.5892  0.5310
O  0.3762  0.2510  0.5591
O  0.4108  0.6271  0.9690
O  0.5892  0.3729  0.0310
O  0.6238  0.7490  0.4409
O  0.6271  0.4108  0.4690
O  0.6283  0.9356  0.8712
O  0.7490  0.6238  0.9409
O  0.7753  0.9524  0.3084
O  0.9356  0.6283  0.3712
O  0.9524  0.7753  0.8084